Structure and calculated powder X-ray diffraction pattern of Ac2InPdS5 (a crystal structure in Alexandria, relaxed with GGA-PBE; Cu Ka).

Structural model:
Cell: 9.081 9.081 12.022 Å, 90.00 90.00 153.68°
Element x y z (fractional)
Ac: 0.120 0.880 0.500
Ac: 0.123 0.877 0.121
Ac: 0.877 0.123 0.621
Ac: 0.880 0.120 0.000
In: 0.410 0.590 0.290
In: 0.590 0.410 0.790
Pd: 0.243 0.757 0.895
Pd: 0.757 0.243 0.395
S: 0.036 0.964 0.880
S: 0.304 0.696 0.462
S: 0.306 0.694 0.149
S: 0.363 0.637 0.809
S: 0.495 0.505 0.105
S: 0.505 0.495 0.605
S: 0.637 0.363 0.309
S: 0.694 0.306 0.649
S: 0.696 0.304 0.962
S: 0.964 0.036 0.380

Most intense lines, 10° ≤ 2θ ≤ 90°, by angle:
| 2theta | I/Imax |
| --- | --- |
| 24.39 | 100 |
| 26.65 | 81 |
| 27.37 | 66 |
| 31.49 | 74 |
| 36.62 | 79 |
| 43.82 | 88 |